# 1
Diffraction record for Ir12Os4Ru3. The powder XRD pattern is theoretical, not measured: it uses DFT lattice parameters and positions (GGA-PBE) and Cu Ka.
Kinematic intensities with the Lorentz-polarization factor, no thermal factor.

The 10 most intense peaks (2θ = 15–90°), most intense first:
- 43.7 deg, intensity 1000, hkl 4 2 0
- 48.1 deg, intensity 984, hkl 4 2 2
- 36.3 deg, intensity 585, hkl 3 1 2
- 77.0 deg, intensity 503, hkl 6 2 4
- 38.9 deg, intensity 475, hkl 4 0 0
- 23.5 deg, intensity 389, hkl 2 1 1
- 50.2 deg, intensity 380, hkl 5 0 1
- 41.4 deg, intensity 315, hkl 3 3 0
- 19.2 deg, intensity 258, hkl 2 0 0
- 30.5 deg, intensity 176, hkl 3 0 1

Structure:
Lattice parameters (Å, degrees): 9.2627 9.2627 9.2627 90.00 90.00 90.00
Space group Im-3 (No. 204)
Unique sites:
Ir (0.0000, 0.2648, 0.3608) x24
Os (0.2500, 0.2500, 0.2500) x8
Ru (0.0000, 0.0000, 0.5000) x6


# 2
Diffraction record for Sc2TaB2Ru5. The powder XRD pattern is theoretical, not measured: it uses DFT lattice parameters and positions (GGA-PBE) and Cu Ka.
Kinematic intensities with the Lorentz-polarization factor, no thermal factor.

The 10 most intense peaks (2θ = 15–90°), most intense first:
- 42.1 deg, intensity 1000, hkl 3 1 1
- 42.5 deg, intensity 492, hkl 4 2 0
- 39.1 deg, intensity 385, hkl 4 1 0
- 39.8 deg, intensity 367, hkl 2 2 1
- 77.6 deg, intensity 315, hkl 7 1 1
- 18.7 deg, intensity 298, hkl 2 0 0
- 36.1 deg, intensity 264, hkl 2 1 1
- 45.4 deg, intensity 241, hkl 3 2 1
- 37.9 deg, intensity 198, hkl 4 0 0
- 32.1 deg, intensity 183, hkl 1 1 1

Structure:
Lattice parameters (Å, degrees): 9.5029 9.5029 3.0677 90.00 90.00 90.00
Space group P4/mbm (No. 127)
Unique sites:
Sc (0.1744, 0.3256, 0.0000) x4
Ta (0.0000, 0.0000, 0.0000) x2
B (0.1213, 0.6213, 0.0000) x4
Ru (0.0000, 0.5000, 0.5000) x2
Ru (0.0724, 0.7827, 0.5000) x8


# 3
Diffraction record for LaTbTe3. The powder XRD pattern is theoretical, not measured: it uses DFT lattice parameters and positions (GGA-PBE) and Cu Ka.
Kinematic intensities with the Lorentz-polarization factor, no thermal factor.

The 10 most intense peaks (2θ = 15–90°), most intense first:
- 31.0 deg, intensity 1000, hkl 2 1 2
- 32.5 deg, intensity 587, hkl 0 1 5
- 40.1 deg, intensity 487, hkl 0 2 0
- 34.3 deg, intensity 484, hkl 1 1 5
- 29.6 deg, intensity 439, hkl 2 0 4
- 24.7 deg, intensity 358, hkl 1 1 2
- 27.7 deg, intensity 328, hkl 1 0 5
- 23.0 deg, intensity 326, hkl 1 1 1
- 38.4 deg, intensity 309, hkl 3 1 1
- 33.1 deg, intensity 266, hkl 2 1 3

Structure:
Lattice parameters (Å, degrees): 8.3565 4.4960 17.4477 90.00 90.00 90.00
Space group Pnma (No. 62)
Unique sites:
La (0.1355, 0.2500, 0.2003) x4
Tb (0.2292, 0.7500, 0.4577) x4
Te (0.0058, 0.2500, 0.3944) x4
Te (0.1203, 0.7500, 0.0621) x4
Te (0.1554, 0.2500, 0.7845) x4


# 4
Diffraction record for SrBe3P3. The powder XRD pattern is theoretical, not measured: it uses DFT lattice parameters and positions (GGA-PBE) and Cu Ka.
Kinematic intensities with the Lorentz-polarization factor, no thermal factor.

The 10 most intense peaks (2θ = 15–90°), most intense first:
- 33.3 deg, intensity 1000, hkl 2 0 1
- 39.3 deg, intensity 892, hkl 1 2 1
- 35.5 deg, intensity 646, hkl 3 0 0
- 58.3 deg, intensity 433, hkl 3 2 1
- 26.1 deg, intensity 318, hkl 1 0 1
- 60.8 deg, intensity 256, hkl 3 0 2
- 31.1 deg, intensity 237, hkl 1 1 1
- 31.2 deg, intensity 220, hkl 1 2 0
- 20.3 deg, intensity 211, hkl 1 1 0
- 73.8 deg, intensity 184, hkl 1 5 1

Structure:
Lattice parameters (Å, degrees): 8.7606 8.7606 3.8184 90.00 90.00 120.00
Space group P6_3/m (No. 176)
Unique sites:
Sr (0.3333, 0.6667, 0.2500) x2
Be (0.0546, 0.3917, 0.7500) x6
P (0.0805, 0.6888, 0.7500) x6


# 5
Diffraction record for TmTh2Pd7. The powder XRD pattern is theoretical, not measured: it uses DFT lattice parameters and positions (GGA-PBE) and Cu Ka.
Kinematic intensities with the Lorentz-polarization factor, no thermal factor.

The 10 most intense peaks (2θ = 15–90°), most intense first:
- 37.8 deg, intensity 1000, hkl 2 2 0
- 24.3 deg, intensity 417, hkl 1 1 3
- 44.8 deg, intensity 309, hkl 2 0 6
- 63.2 deg, intensity 222, hkl 2 4 6
- 42.1 deg, intensity 185, hkl 0 4 0
- 74.1 deg, intensity 139, hkl 2 6 0
- 38.5 deg, intensity 129, hkl 1 3 3
- 77.9 deg, intensity 121, hkl 2 2 12
- 78.0 deg, intensity 121, hkl 4 2 6
- 51.6 deg, intensity 120, hkl 3 1 3

Structure:
Lattice parameters (Å, degrees): 5.7164 8.5856 17.1796 90.00 90.00 90.00
Space group Fmmm (No. 69)
Unique sites:
Tm (0.0000, 0.0000, 0.0000) x4
Th (0.0000, 0.0000, 0.3329) x8
Pd (0.0000, 0.0000, 0.5000) x4
Pd (0.2500, 0.2500, 0.0828) x16
Pd (0.2500, 0.2500, 0.2500) x8


# 6
Diffraction record for TbTm2Br. The powder XRD pattern is theoretical, not measured: it uses DFT lattice parameters and positions (GGA-PBE) and Cu Ka.
Kinematic intensities with the Lorentz-polarization factor, no thermal factor.

The 10 most intense peaks (2θ = 15–90°), most intense first:
- 40.0 deg, intensity 1000, hkl 1 0 10
- 29.9 deg, intensity 806, hkl 1 0 1
- 30.3 deg, intensity 797, hkl 0 1 2
- 52.9 deg, intensity 447, hkl 1 1 0
- 23.3 deg, intensity 424, hkl 0 0 9
- 41.8 deg, intensity 375, hkl 0 1 11
- 36.6 deg, intensity 373, hkl 0 1 8
- 32.6 deg, intensity 358, hkl 0 1 5
- 31.3 deg, intensity 302, hkl 0 0 12
- 62.4 deg, intensity 262, hkl 0 1 20

Structure:
Lattice parameters (Å, degrees): 3.4591 3.4591 34.3003 90.00 90.00 120.00
Space group R-3m (No. 166, hexagonal axes)
Unique sites:
Tb (0.0000, 0.0000, 0.0000) x3
Tm (0.0000, 0.0000, 0.0980) x6
Br (0.0000, 0.0000, 0.5000) x3


# 7
Diffraction record for TmPa2As. The powder XRD pattern is theoretical, not measured: it uses DFT lattice parameters and positions (GGA-PBE) and Cu Ka.
Kinematic intensities with the Lorentz-polarization factor, no thermal factor.

The 10 most intense peaks (2θ = 15–90°), most intense first:
- 30.5 deg, intensity 1000, hkl 1 0 1
- 42.0 deg, intensity 998, hkl 1 0 10
- 30.9 deg, intensity 685, hkl 0 1 2
- 25.5 deg, intensity 545, hkl 0 0 9
- 33.6 deg, intensity 491, hkl 0 1 5
- 53.9 deg, intensity 489, hkl 1 1 0
- 38.1 deg, intensity 426, hkl 0 1 8
- 44.1 deg, intensity 355, hkl 0 1 11
- 60.5 deg, intensity 313, hkl 1 1 9
- 67.4 deg, intensity 250, hkl 0 1 20

Structure:
Lattice parameters (Å, degrees): 3.4044 3.4044 31.4851 90.00 90.00 120.00
Space group R-3m (No. 166, hexagonal axes)
Unique sites:
Tm (0.0000, 0.0000, 0.0000) x3
Pa (0.0000, 0.0000, 0.1007) x6
As (0.0000, 0.0000, 0.5000) x3


# 8
Diffraction record for La2MnPt9. The powder XRD pattern is theoretical, not measured: it uses DFT lattice parameters and positions (GGA-PBE) and Cu Ka.
Kinematic intensities with the Lorentz-polarization factor, no thermal factor.

The 10 most intense peaks (2θ = 15–90°), most intense first:
- 38.8 deg, intensity 1000, hkl 1 1 6
- 41.9 deg, intensity 669, hkl 2 0 5
- 19.2 deg, intensity 501, hkl 1 0 1
- 69.2 deg, intensity 312, hkl 2 2 0
- 40.2 deg, intensity 304, hkl 0 0 12
- 38.4 deg, intensity 293, hkl 0 2 1
- 41.6 deg, intensity 290, hkl 0 1 11
- 45.2 deg, intensity 288, hkl 0 2 7
- 62.8 deg, intensity 246, hkl 3 0 6
- 83.2 deg, intensity 232, hkl 2 2 12

Structure:
Lattice parameters (Å, degrees): 5.4315 5.4315 26.9253 90.00 90.00 120.00
Space group R-3m (No. 166, hexagonal axes)
Unique sites:
La (0.0000, 0.0000, 0.1359) x6
Mn (0.0000, 0.0000, 0.0000) x3
Pt (0.0000, 0.0000, 0.3325) x6
Pt (0.0000, 0.0000, 0.5000) x3
Pt (0.0032, 0.5016, 0.9167) x18


# 9
Diffraction record for K2CrTe. The powder XRD pattern is theoretical, not measured: it uses DFT lattice parameters and positions (GGA-PBE) and Cu Ka.
Kinematic intensities with the Lorentz-polarization factor, no thermal factor.

The 10 most intense peaks (2θ = 15–90°), most intense first:
- 31.5 deg, intensity 1000, hkl 1 1 0
- 28.4 deg, intensity 717, hkl 1 0 2
- 41.6 deg, intensity 705, hkl 1 1 3
- 26.5 deg, intensity 627, hkl 0 0 3
- 32.7 deg, intensity 562, hkl 1 1 1
- 34.8 deg, intensity 412, hkl 1 0 3
- 17.6 deg, intensity 392, hkl 0 0 2
- 23.8 deg, intensity 381, hkl 1 0 1
- 45.1 deg, intensity 348, hkl 2 0 0
- 53.0 deg, intensity 330, hkl 2 0 3

Structure:
Lattice parameters (Å, degrees): 4.0219 4.0219 10.0960 90.00 90.00 90.00
Space group P4mm (No. 99)
Unique sites:
K (0.0000, 0.0000, 0.0000) x1
K (0.5000, 0.5000, 0.3776) x1
Cr (0.5000, 0.5000, 0.7062) x1
Te (0.0000, 0.0000, 0.6532) x1


# 10
Diffraction record for TbSm2Sc7. The powder XRD pattern is theoretical, not measured: it uses DFT lattice parameters and positions (GGA-PBE) and Cu Ka.
Kinematic intensities with the Lorentz-polarization factor, no thermal factor.

The 10 most intense peaks (2θ = 15–90°), most intense first:
- 34.9 deg, intensity 1000, hkl 1 5 1
- 32.2 deg, intensity 490, hkl 2 4 0
- 27.1 deg, intensity 468, hkl 1 7 0
- 17.5 deg, intensity 428, hkl 1 3 0
- 30.8 deg, intensity 423, hkl 1 1 1
- 32.8 deg, intensity 401, hkl 0 10 0
- 40.7 deg, intensity 290, hkl 2 2 1
- 35.5 deg, intensity 257, hkl 2 6 0
- 55.7 deg, intensity 242, hkl 3 5 1
- 43.0 deg, intensity 234, hkl 1 9 1

Structure:
Lattice parameters (Å, degrees): 6.0899 27.3359 3.3218 90.00 90.00 90.00
Space group Cmmm (No. 65)
Unique sites:
Tb (0.0000, 0.0000, 0.0000) x2
Sm (0.0000, 0.2902, 0.5000) x4
Sc (0.0000, 0.1809, 0.0000) x4
Sc (0.0000, 0.5000, 0.5000) x2
Sc (0.2463, 0.0980, 0.5000) x8


# 11
Diffraction record for SnH3SCl3. The powder XRD pattern is theoretical, not measured: it uses DFT lattice parameters and positions (GGA-PBE) and Cu Ka.
Kinematic intensities with the Lorentz-polarization factor, no thermal factor.

The 10 most intense peaks (2θ = 15–90°), most intense first:
- 23.1 deg, intensity 1000, hkl 2 0 0
- 28.2 deg, intensity 903, hkl 1 -2 2
- 22.1 deg, intensity 886, hkl 1 0 3
- 29.1 deg, intensity 867, hkl 0 2 3
- 35.1 deg, intensity 851, hkl 1 2 4
- 29.9 deg, intensity 799, hkl 0 2 -3
- 28.5 deg, intensity 795, hkl 1 2 -2
- 23.4 deg, intensity 780, hkl 1 0 -3
- 36.3 deg, intensity 756, hkl 2 2 3
- 27.2 deg, intensity 706, hkl 1 2 2

Structure:
Lattice parameters (Å, degrees): 7.7203 8.1500 13.6208 88.22 86.36 88.52
Space group P1 (No. 1)
Unique sites:
Sn (0.0000, 0.0000, 0.0000) x1
Sn (0.0060, 0.4816, 0.0116) x1
Sn (0.4969, 0.2306, 0.4928) x1
Sn (0.5077, 0.7180, 0.5146) x1
H (0.0736, 0.0115, 0.6052) x1
H (0.0842, 0.7039, 0.2388) x1
H (0.1051, 0.7047, 0.3883) x1
H (0.1430, 0.2180, 0.6692) x1
H (0.3484, 0.6562, 0.8477) x1
H (0.4084, 0.1917, 0.1013) x1
H (0.5411, 0.9739, 0.1212) x1
H (0.5481, 0.7634, 0.7620) x1
H (0.5822, 0.7153, 0.9068) x1
H (0.6397, 0.1717, 0.1713) x1
H (0.8687, 0.7182, 0.3372) x1
H (0.8993, 0.2030, 0.6238) x1
S (0.0072, 0.1038, 0.6829) x1
S (0.0150, 0.6138, 0.3245) x1
S (0.4757, 0.1014, 0.1803) x1
S (0.5320, 0.6278, 0.8284) x1
Cl (0.1005, 0.6859, 0.8595) x1
Cl (0.1860, 0.8077, 0.1219) x1
Cl (0.2155, 0.8719, 0.4826) x1
Cl (0.2887, 0.3021, 0.9820) x1
Cl (0.3206, 0.3881, 0.6312) x1
Cl (0.4465, 0.4740, 0.3647) x1
Cl (0.5705, 0.9429, 0.6526) x1
Cl (0.6749, 0.8877, 0.3783) x1
Cl (0.7091, 0.8282, 0.0311) x1
Cl (0.7792, 0.3662, 0.5360) x1
Cl (0.8455, 0.3058, 0.8958) x1
Cl (0.9108, 0.1833, 0.1527) x1


# 12
Diffraction record for Zn2AgN. The powder XRD pattern is theoretical, not measured: it uses DFT lattice parameters and positions (GGA-PBE) and Cu Ka.
Kinematic intensities with the Lorentz-polarization factor, no thermal factor.

The 10 most intense peaks (2θ = 15–90°), most intense first:
- 30.4 deg, intensity 1000, hkl 1 1 2
- 36.9 deg, intensity 872, hkl 2 1 1
- 34.8 deg, intensity 378, hkl 1 0 3
- 55.4 deg, intensity 294, hkl 3 1 2
- 53.2 deg, intensity 285, hkl 2 0 4
- 67.8 deg, intensity 209, hkl 3 2 3
- 49.3 deg, intensity 141, hkl 3 0 1
- 86.5 deg, intensity 134, hkl 4 3 1
- 47.7 deg, intensity 116, hkl 2 1 3
- 37.9 deg, intensity 103, hkl 2 0 2

Structure:
Lattice parameters (Å, degrees): 5.6722 5.6722 8.6742 90.00 90.00 90.00
Space group I-42d (No. 122)
Unique sites:
Zn (0.1259, 0.2500, 0.1250) x8
Ag (0.0000, 0.0000, 0.5000) x4
N (0.0000, 0.0000, 0.0000) x4


# 13
Diffraction record for NaPdPtO4. The powder XRD pattern is theoretical, not measured: it uses DFT lattice parameters and positions (GGA-PBE) and Cu Ka.
Kinematic intensities with the Lorentz-polarization factor, no thermal factor.

The 10 most intense peaks (2θ = 15–90°), most intense first:
- 17.1 deg, intensity 1000, hkl 1 0 1
- 33.2 deg, intensity 451, hkl 1 2 1
- 40.9 deg, intensity 333, hkl 2 2 0
- 56.7 deg, intensity 300, hkl 2 2 4
- 34.0 deg, intensity 298, hkl 0 2 2
- 16.8 deg, intensity 282, hkl 0 1 1
- 34.5 deg, intensity 266, hkl 2 0 2
- 31.5 deg, intensity 241, hkl 1 0 3
- 37.5 deg, intensity 207, hkl 0 0 4
- 33.6 deg, intensity 151, hkl 2 1 1

Structure:
Lattice parameters (Å, degrees): 6.1829 6.3141 9.5822 90.00 90.00 90.00
Space group Imma (No. 74)
Unique sites:
Na (0.0000, 0.2500, 0.1409) x4
Pd (0.2500, 0.2500, 0.7500) x4
Pt (0.0000, 0.0000, 0.5000) x4
O (0.0000, 0.0363, 0.7121) x8
O (0.2110, 0.2500, 0.5044) x8